For NdGdSc2Ge2, the PBE geometry in OQMD gives the calculated X-ray diffraction stick pattern in this record (Cu Kα (λ = 1.5418 Å)).
Kinematic intensities with the Lorentz-polarization factor, no thermal factor.

Top 6 peaks for 2θ = 10–90°, in order of falling intensity:
(hkl)	d (Å)	intensity
1 0 5	2.548	100
1 1 0	3.032	94
1 1 2	2.831	89
2 0 0	2.144	80
1 1 4	2.407	80
1 0 3	3.329	66

Atomic structure:
a = 4.2874 Å, b = 4.2874 Å, c = 15.8446 Å
α = 90.00°, β = 90.00°, γ = 90.00°
Space group I4mm (No. 107)
Symmetry-distinct sites (fractional):
Nd 0.0000 0.0000 0.0000 (multiplicity 2)
Gd 0.0000 0.0000 0.6466 (multiplicity 2)
Sc 0.0000 0.5000 0.3212 (multiplicity 4)
Ge 0.0000 0.0000 0.1977 (multiplicity 2)
Ge 0.0000 0.0000 0.4466 (multiplicity 2)

For KHoGa4Pt2, the PBE geometry in OQMD gives the calculated X-ray diffraction stick pattern in this record (Cu Kα (λ = 1.5418 Å)).
Kinematic intensities with the Lorentz-polarization factor, no thermal factor.

Top 6 peaks for 2θ = 10–90°, in order of falling intensity:
(hkl)	d (Å)	intensity
1 1 3	2.517	100
2 1 1	2.630	82
2 0 0	3.479	72
2 1 3	2.133	57
1 0 4	2.418	55
3 1 1	2.009	55

Atomic structure:
a = 6.9592 Å, b = 4.3611 Å, c = 10.3163 Å
α = 90.00°, β = 90.00°, γ = 90.00°
Space group Amm2 (No. 38)
Symmetry-distinct sites (fractional):
K 0.0000 0.0000 0.0000 (multiplicity 2)
Ho 0.5000 0.0000 0.1575 (multiplicity 2)
Ga 0.1979 0.0000 0.7169 (multiplicity 4)
Ga 0.3083 0.0000 0.4381 (multiplicity 4)
Pt 0.0000 0.0000 0.2816 (multiplicity 2)
Pt 0.5000 0.0000 0.8705 (multiplicity 2)

For CdH34C18S4O2, the PBE geometry in OQMD gives the calculated X-ray diffraction stick pattern in this record (Cu Kα (λ = 1.5418 Å)).
Kinematic intensities with the Lorentz-polarization factor, no thermal factor.

Top 6 peaks for 2θ = 10–90°, in order of falling intensity:
(hkl)	d (Å)	intensity
1 1 3	4.054	100
1 1 4	3.506	78
2 0 -1	4.423	63
1 1 1	5.202	58
1 1 -4	3.600	50
1 1 0	5.457	32

Atomic structure:
a = 9.0167 Å, b = 6.8582 Å, c = 18.7345 Å
α = 90.00°, β = 92.51°, γ = 90.00°
Space group C2 (No. 5)
Symmetry-distinct sites (fractional):
Cd 0.0000 0.0000 0.0000 (multiplicity 2)
H 0.0153 0.0555 0.2227 (multiplicity 4)
H 0.0165 0.7520 0.3046 (multiplicity 4)
H 0.0230 0.4450 0.3816 (multiplicity 4)
H 0.0317 0.3663 0.1376 (multiplicity 4)
H 0.0735 0.5943 0.4550 (multiplicity 4)
H 0.0796 0.8989 0.3769 (multiplicity 4)
H 0.0838 0.2017 0.2947 (multiplicity 4)
H 0.1014 0.5015 0.2134 (multiplicity 4)
H 0.1443 0.2437 0.4789 (multiplicity 4)
H 0.1834 0.7652 0.7736 (multiplicity 4)
H 0.1931 0.1920 0.6058 (multiplicity 4)
H 0.1925 0.4846 0.6904 (multiplicity 4)
H 0.1960 0.8952 0.5199 (multiplicity 4)
H 0.2400 0.1273 0.1544 (multiplicity 4)
H 0.2403 0.7471 0.5956 (multiplicity 4)
H 0.2406 0.8405 0.2373 (multiplicity 4)
H 0.2489 0.0479 0.6799 (multiplicity 4)
C 0.1181 0.1063 0.2509 (multiplicity 4)
C 0.1181 0.8073 0.3329 (multiplicity 4)
C 0.1197 0.5047 0.4125 (multiplicity 4)
C 0.1324 0.4012 0.1706 (multiplicity 4)
C 0.1924 0.6645 0.0908 (multiplicity 4)
C 0.2046 0.9322 0.2818 (multiplicity 4)
C 0.2079 0.6360 0.3640 (multiplicity 4)
C 0.2109 0.2214 0.1994 (multiplicity 4)
C 0.2116 0.3386 0.4457 (multiplicity 4)
S 0.0240 0.7619 0.1049 (multiplicity 4)
S 0.1861 0.2667 0.9649 (multiplicity 4)
O 0.2362 0.5023 0.1255 (multiplicity 4)

For PrSmAl2I2, the PBE geometry in OQMD gives the calculated X-ray diffraction stick pattern in this record (Cu Kα (λ = 1.5418 Å)).
Kinematic intensities with the Lorentz-polarization factor, no thermal factor.

Top 6 peaks for 2θ = 10–90°, in order of falling intensity:
(hkl)	d (Å)	intensity
1 0 3	2.788	100
1 0 1	3.617	65
1 1 0	2.183	45
1 0 2	3.227	43
0 0 2	6.192	30
1 1 6	1.500	26

Atomic structure:
a = 4.3665 Å, b = 4.3665 Å, c = 12.3845 Å
α = 90.00°, β = 90.00°, γ = 120.00°
Space group P3m1 (No. 156)
Symmetry-distinct sites (fractional):
Pr 0.0000 0.0000 0.0000 (multiplicity 1)
Sm 0.0000 0.0000 0.3439 (multiplicity 1)
Al 0.3333 0.6667 0.1883 (multiplicity 1)
Al 0.6667 0.3333 0.1610 (multiplicity 1)
I 0.3333 0.6667 0.8336 (multiplicity 1)
I 0.6667 0.3333 0.5040 (multiplicity 1)

For K2ZrMoH6, the PBE geometry in OQMD gives the calculated X-ray diffraction stick pattern in this record (Cu Kα (λ = 1.5418 Å)).
Kinematic intensities with the Lorentz-polarization factor, no thermal factor.

Top 6 peaks for 2θ = 10–90°, in order of falling intensity:
(hkl)	d (Å)	intensity
1 1 0	2.530	100
1 0 3	2.964	98
0 0 2	6.037	76
1 1 4	1.939	43
2 -1 2	2.333	40
1 1 6	1.575	39

Atomic structure:
a = 5.0600 Å, b = 5.0600 Å, c = 12.0730 Å
α = 90.00°, β = 90.00°, γ = 120.00°
Space group P-31c (No. 163)
Symmetry-distinct sites (fractional):
K 0.3333 0.6667 0.0654 (multiplicity 4)
Zr 0.0000 0.0000 0.2500 (multiplicity 2)
Mo 0.3333 0.6667 0.7500 (multiplicity 2)
H 0.1800 0.3647 0.8582 (multiplicity 12)

For Hg, the PBE geometry in OQMD gives the calculated X-ray diffraction stick pattern in this record (Cu Kα (λ = 1.5418 Å)).
Kinematic intensities with the Lorentz-polarization factor, no thermal factor.

Top 6 peaks for 2θ = 10–90°, in order of falling intensity:
(hkl)	d (Å)	intensity
1 0 1	2.755	100
1 1 0	2.331	32
2 1 1	1.415	27
1 1 2	1.707	25
0 0 2	2.507	19
1 0 3	1.491	16

Atomic structure:
a = 3.2972 Å, b = 3.2972 Å, c = 5.0136 Å
α = 90.00°, β = 90.00°, γ = 90.00°
Space group I4/mmm (No. 139)
Symmetry-distinct sites (fractional):
Hg 0.0000 0.0000 0.0000 (multiplicity 2)

For Li7TcO6, the PBE geometry in OQMD gives the calculated X-ray diffraction stick pattern in this record (Cu Kα (λ = 1.5418 Å)).
Kinematic intensities with the Lorentz-polarization factor, no thermal factor.

Top 6 peaks for 2θ = 10–90°, in order of falling intensity:
(hkl)	d (Å)	intensity
1 0 1	4.509	100
0 1 2	3.958	73
1 1 3	2.378	50
1 1 6	1.800	32
0 0 3	4.771	29
1 0 4	2.858	23

Atomic structure:
a = 5.4862 Å, b = 5.4862 Å, c = 14.3131 Å
α = 90.00°, β = 90.00°, γ = 120.00°
Space group R3 (No. 146, hexagonal axes)
Symmetry-distinct sites (fractional):
Li 0.0000 0.0000 0.0000 (multiplicity 3)
Li 0.0534 0.7095 0.8774 (multiplicity 9)
Li 0.0608 0.3801 0.1017 (multiplicity 9)
Tc 0.0000 0.0000 0.6563 (multiplicity 3)
O 0.0080 0.2962 0.5755 (multiplicity 9)
O 0.0185 0.6337 0.4040 (multiplicity 9)

For PrSiGe2Os, the PBE geometry in OQMD gives the calculated X-ray diffraction stick pattern in this record (Cu Kα (λ = 1.5418 Å)).
Kinematic intensities with the Lorentz-polarization factor, no thermal factor.

Top 6 peaks for 2θ = 10–90°, in order of falling intensity:
(hkl)	d (Å)	intensity
1 0 3	2.670	100
1 1 2	2.652	86
2 0 0	2.207	74
1 0 1	4.041	56
2 1 3	1.701	53
1 1 0	3.121	32

Atomic structure:
a = 4.4132 Å, b = 4.4132 Å, c = 10.0594 Å
α = 90.00°, β = 90.00°, γ = 90.00°
Space group I4mm (No. 107)
Symmetry-distinct sites (fractional):
Pr 0.0000 0.0000 0.0000 (multiplicity 2)
Si 0.0000 0.0000 0.5743 (multiplicity 2)
Ge 0.0000 0.5000 0.2377 (multiplicity 4)
Os 0.0000 0.0000 0.3461 (multiplicity 2)

For SiHgAu2, the PBE geometry in OQMD gives the calculated X-ray diffraction stick pattern in this record (Cu Kα (λ = 1.5418 Å)).
Kinematic intensities with the Lorentz-polarization factor, no thermal factor.

Top 6 peaks for 2θ = 10–90°, in order of falling intensity:
(hkl)	d (Å)	intensity
2 2 0	2.381	100
4 2 2	1.375	36
4 0 0	1.684	18
1 1 1	3.888	17
4 4 0	1.190	12
3 1 1	2.030	9

Atomic structure:
a = 6.7340 Å, b = 6.7340 Å, c = 6.7340 Å
α = 90.00°, β = 90.00°, γ = 90.00°
Space group F-43m (No. 216)
Symmetry-distinct sites (fractional):
Si 0.0000 0.0000 0.0000 (multiplicity 4)
Hg 0.2500 0.2500 0.2500 (multiplicity 4)
Au 0.0000 0.0000 0.5000 (multiplicity 4)
Au 0.2500 0.2500 0.7500 (multiplicity 4)